For DyHo4Se7, a GGA-PBE-relaxed structure gives the simulated X-ray diffraction stick pattern in this record (CuKα).
No peak broadening, texture or thermal motion is included.

Structure:
Lattice parameters (Å, degrees): 6.9581 6.9581 12.1627 103.74 103.74 33.01
Fractional positions:
Dy: 0.0000 0.0000 0.0000
Ho: 0.1131 0.1131 0.4222
Ho: 0.2258 0.2258 0.8438
Ho: 0.4126 0.4126 0.6090
Ho: 0.8135 0.8135 0.2352
Se: 0.0728 0.0728 0.6374
Se: 0.1534 0.1534 0.2071
Se: 0.3703 0.3703 0.0703
Se: 0.4535 0.4535 0.3720
Se: 0.6131 0.6131 0.9212
Se: 0.7727 0.7727 0.4722
Se: 0.8542 0.8542 0.7734

Largest 6 diffraction maxima, low angle first, 2θ = 5–70°:
| 2θ/deg | intensity |
| --- | --- |
| 22.80 | 95 |
| 23.41 | 73 |
| 30.35 | 79 |
| 31.91 | 100 |
| 32.88 | 77 |
| 45.91 | 60 |